Theoretical X-ray diffraction stick pattern of Ga2Si2O7 for λ = 1.5418 Å (Cu Kα), from a crystal structure in Alexandria, relaxed with GGA-PBE.
Peak positions follow from Bragg's law for the DFT cell and can differ from measured ones.

Structural model:
a b c (Å): 4.7861 9.5156 5.6391
angles (deg): 90.00 102.40 90.00
Fractional positions:
Ga 0.1535 0.1835 0.3522
Ga 0.1535 0.3165 0.8522
Ga 0.8465 0.6835 0.1478
Ga 0.8465 0.8165 0.6478
Si 0.3479 0.6002 0.6675
Si 0.3479 0.8998 0.1675
Si 0.6521 0.1002 0.8325
Si 0.6521 0.3998 0.3325
O 0.0958 0.7021 0.5014
O 0.0958 0.7979 0.0014
O 0.2009 0.5070 0.8462
O 0.2009 0.9930 0.3462
O 0.3973 0.2076 0.6894
O 0.3973 0.2924 0.1894
O 0.5000 0.0000 0.0000
O 0.5000 0.5000 0.5000
O 0.6027 0.7076 0.8106
O 0.6027 0.7924 0.3106
O 0.7991 0.0070 0.6538
O 0.7991 0.4930 0.1538
O 0.9042 0.2021 0.9986
O 0.9042 0.2979 0.4986

Principal peaks in the range 2θ = 10–90°, in order of rising 2θ:
2θ 18.6, 4.758 Å, I = 22, (0 2 0)
2θ 21.2, 4.196 Å, I = 28, (1 1 0)
2θ 26.7, 3.334 Å, I = 13, (1 2 0)
2θ 29.1, 3.067 Å, I = 100, (1 2 -1)
2θ 33.9, 2.645 Å, I = 23, (0 1 2)
2θ 39.7, 2.271 Å, I = 12, (2 1 0)
2θ 41.3, 2.184 Å, I = 11, (0 4 1)
2θ 44.3, 2.047 Å, I = 15, (1 4 -1)
2θ 63.0, 1.476 Å, I = 15, (2 5 -1)
2θ 71.4, 1.321 Å, I = 10, (0 5 3)